# SrCo2Sn2O7
Computed powder XRD pattern, Cu Kα (weighted mean of Kα1 and Kα2). Input: a structure optimized by DFT (GGA+U).
Intensities are scaled so that the largest is 100.

Peak list (10 most intense, 2θ from 10° to 90°, in order of rising 2θ)
two_theta, d [Å], I (rel.)
26.26, 3.394, 80
26.41, 3.375, 89
30.22, 2.958, 43
31.99, 2.798, 100
33.58, 2.668, 72
33.70, 2.659, 61
41.83, 2.160, 72
43.07, 2.100, 74
43.46, 2.082, 72
62.84, 1.479, 45

Structural model:
a b c (Å): 17.7786 4.1649 4.2004
angles (deg): 90.00 103.64 90.00
Space group Cm (No. 8)
Asymmetric unit:
Sr: 0.0000 0.0000 0.0000 (multiplicity 2)
Co: 0.2476 0.5000 0.2466 (multiplicity 2)
Co: 0.2524 0.0000 0.7559 (multiplicity 2)
Sn: 0.1164 0.5000 0.6181 (multiplicity 2)
Sn: 0.3836 0.0000 0.3840 (multiplicity 2)
O: 0.0000 0.5000 0.5026 (multiplicity 2)
O: 0.1185 0.0000 0.6257 (multiplicity 2)
O: 0.1198 0.5000 0.1222 (multiplicity 2)
O: 0.2366 0.5000 0.7340 (multiplicity 2)
O: 0.2634 0.0000 0.2685 (multiplicity 2)
O: 0.3802 0.0000 0.8803 (multiplicity 2)
O: 0.3815 0.5000 0.3769 (multiplicity 2)